This entry pairs a crystal structure of Mg6MnAlO8 with its calculated PXRD pattern. Radiation: Cu Kα, 1.54184 Å. Structure: a DFT-relaxed cell (GGA+U, Alexandria).
Intensities are scaled so that the largest is 100.

Most intense lines, 10° ≤ 2θ ≤ 90°, by intensity:
| h k l | Position (°2θ) | I (rel.) |
| --- | --- | --- |
| 2 0 0 | 41.7 | 100 |
| 2 2 0 | 60.5 | 56 |
| 1 1 2 | 35.9 | 18 |
| 2 2 4 | 76.2 | 17 |
| 1 1 6 | 72.4 | 11 |
| 0 0 2 | 20.5 | 6 |

Structural model:
Unit cell a=4.3277 b=4.3277 c=8.6581 alpha=90.00 beta=90.00 gamma=90.00
Fractional positions:
Mg 0.0000 0.0000 0.0000
Mg 0.0000 0.0000 0.5000
Mg 0.0000 0.5000 0.2488
Mg 0.0000 0.5000 0.7512
Mg 0.5000 0.0000 0.2488
Mg 0.5000 0.0000 0.7512
Mn 0.5000 0.5000 0.5000
Al 0.5000 0.5000 0.0000
O 0.0000 0.0000 0.2488
O 0.0000 0.0000 0.7512
O 0.0000 0.5000 0.0000
O 0.0000 0.5000 0.5000
O 0.5000 0.0000 0.0000
O 0.5000 0.0000 0.5000
O 0.5000 0.5000 0.2194
O 0.5000 0.5000 0.7806